1.
Ba4Ga2O: calculated X-ray diffraction stick pattern (Cu Ka), based on a structure optimized by DFT (GGA-PBE).

Unit cell a=8.1929 b=7.6217 c=8.9039 alpha=90.00 beta=104.57 gamma=90.00
Atoms (fractional coordinates):
1 Ba 0.0734 0.2500 0.3830
2 Ba 0.2748 0.5023 0.0694
3 Ba 0.2748 0.9977 0.0694
4 Ba 0.4067 0.7500 0.5475
5 Ba 0.5933 0.2500 0.4525
6 Ba 0.7252 0.0023 0.9306
7 Ba 0.7252 0.4977 0.9306
8 Ba 0.9266 0.7500 0.6170
9 Ga 0.0259 0.2500 0.7656
10 Ga 0.3423 0.2500 0.7481
11 Ga 0.6577 0.7500 0.2519
12 Ga 0.9741 0.7500 0.2344
13 O 0.3169 0.2500 0.2591
14 O 0.6831 0.7500 0.7409

Peak list (10 most intense, 10° ≤ 2θ ≤ 90°, sorted by position)
Position (°2θ)  d/Å  I/Imax
23.7  3.751  29
25.6  3.485  100
25.9  3.440  25
26.4  3.371  31
27.0  3.300  39
29.0  3.081  44
30.3  2.949  25
32.6  2.747  43
33.3  2.688  27
47.8  1.905  31

2.
Ba3GaO: calculated X-ray diffraction stick pattern (Cu Ka), based on a structure optimized by DFT (GGA-PBE).

Unit cell a=8.7610 b=8.7610 c=10.5600 alpha=96.17 beta=96.17 gamma=26.72
Atoms (fractional coordinates):
1 Ba 0.0298 0.0298 0.3044
2 Ba 0.2393 0.2393 0.6878
3 Ba 0.3493 0.3493 0.0104
4 Ba 0.6507 0.6507 0.9896
5 Ba 0.7607 0.7607 0.3122
6 Ba 0.9702 0.9702 0.6956
7 Ga 0.4079 0.4079 0.4487
8 Ga 0.5921 0.5921 0.5513
9 O 0.2206 0.2206 0.1247
10 O 0.7794 0.7794 0.8753

Peak list (10 most intense, 10° ≤ 2θ ≤ 90°, sorted by position)
Position (°2θ)  d/Å  I/Imax
23.5  3.786  28
25.5  3.494  100
27.1  3.290  35
27.9  3.197  71
28.7  3.111  66
33.1  2.710  30
42.7  2.119  26
44.8  2.024  23
45.3  2.002  27
52.2  1.751  32